Record 1
Calculated PXRD pattern of NbMoW14 for Cu Kα (λ = 1.5418 Å), from a DFT-relaxed cell (GGA-PBE, Alexandria).
Intensities are scaled so that the largest is 100.

abc: 5.520 5.520 9.036
angles: 90.00 90.00 109.17
Fractional coordinates of all 16 atoms:
Nb 0.000 0.000 0.000
Mo 0.500 0.500 0.000
W 0.000 0.000 0.500
W 0.000 0.500 0.000
W 0.000 0.500 0.500
W 0.250 0.750 0.251
W 0.250 0.750 0.749
W 0.251 0.251 0.252
W 0.251 0.251 0.748
W 0.500 0.000 0.000
W 0.500 0.000 0.500
W 0.500 0.500 0.500
W 0.749 0.749 0.252
W 0.749 0.749 0.748
W 0.750 0.250 0.251
W 0.750 0.250 0.749

Main lines, low angle first (2θ = 5–70°):
2θ/deg  d/Å  intensity
9.79  9.036  2
19.69  4.509  1
22.07  4.027  1
27.96  3.192  1
35.86  2.504  1
39.92  2.258  100
40.08  2.249  20
57.63  1.599  7
57.85  1.594  14

***

Record 2
Calculated PXRD pattern of Zn6InAg2 for Cu Kα (λ = 1.5418 Å), from a DFT-relaxed cell (GGA-PBE, Alexandria).
Intensities are scaled so that the largest is 100.

abc: 6.253 6.253 6.253
angles: 60.00 60.00 60.00
Fractional coordinates of all 9 atoms:
Zn 0.208 0.208 0.792
Zn 0.208 0.792 0.208
Zn 0.208 0.792 0.792
Zn 0.792 0.208 0.208
Zn 0.792 0.208 0.792
Zn 0.792 0.792 0.208
In 0.500 0.500 0.500
Ag 0.250 0.250 0.250
Ag 0.750 0.750 0.750

Main lines, low angle first (2θ = 5–70°):
2θ/deg  d/Å  intensity
28.55  3.127  61
33.61  2.666  29
35.15  2.553  96
40.82  2.211  100
44.67  2.029  50
50.56  1.805  12
53.87  1.702  24
59.09  1.563  51
66.92  1.398  23
69.73  1.349  5

***

Record 3
Calculated PXRD pattern of Co4CuNiS8 for Cu Kα (λ = 1.5418 Å), from a DFT-relaxed cell (GGA-PBE, Alexandria).
Intensities are scaled so that the largest is 100.

abc: 6.654 6.654 6.654
angles: 60.00 60.00 60.00
Fractional coordinates of all 14 atoms:
Co 0.125 0.125 0.125
Co 0.125 0.125 0.625
Co 0.125 0.625 0.125
Co 0.625 0.125 0.125
Cu 0.750 0.750 0.750
Ni 0.500 0.500 0.500
S 0.337 0.888 0.888
S 0.365 0.365 0.365
S 0.365 0.365 0.904
S 0.365 0.904 0.365
S 0.888 0.337 0.888
S 0.888 0.888 0.337
S 0.888 0.888 0.888
S 0.904 0.365 0.365

Main lines, low angle first (2θ = 5–70°):
2θ/deg  d/Å  intensity
16.32  5.433  14
26.80  3.327  34
31.53  2.837  100
38.26  2.352  44
47.33  1.921  12
50.39  1.811  48
55.22  1.663  81
62.42  1.488  4
64.99  1.435  11
69.17  1.358  8

***

Record 4
Calculated PXRD pattern of K16Rb4Na3 for Cu Kα (λ = 1.5418 Å), from a DFT-relaxed cell (GGA-PBE, Alexandria).
Intensities are scaled so that the largest is 100.

abc: 9.634 9.634 18.264
angles: 90.00 90.00 90.00
Fractional coordinates of all 23 atoms:
K 0.000 0.000 0.195
K 0.000 0.000 0.805
K 0.228 0.228 0.000
K 0.228 0.772 0.000
K 0.247 0.247 0.377
K 0.247 0.247 0.623
K 0.247 0.753 0.377
K 0.247 0.753 0.623
K 0.500 0.500 0.205
K 0.500 0.500 0.795
K 0.753 0.247 0.377
K 0.753 0.247 0.623
K 0.753 0.753 0.377
K 0.753 0.753 0.623
K 0.772 0.228 0.000
K 0.772 0.772 0.000
Rb 0.000 0.500 0.186
Rb 0.000 0.500 0.814
Rb 0.500 0.000 0.186
Rb 0.500 0.000 0.814
Na 0.000 0.500 0.500
Na 0.500 0.000 0.500
Na 0.500 0.500 0.000

Main lines, low angle first (2θ = 5–70°):
2θ/deg  d/Å  intensity
19.56  4.539  14
20.85  4.261  39
23.55  3.778  100
24.37  3.653  23
26.16  3.406  58
36.05  2.491  30
37.33  2.409  21
43.89  2.063  18
44.62  2.031  31
45.09  2.011  15

***

Record 5
Calculated PXRD pattern of Tb2Tm3Se6 for Cu Kα (λ = 1.5418 Å), from a DFT-relaxed cell (GGA-PBE, Alexandria).
Intensities are scaled so that the largest is 100.

abc: 6.973 6.973 6.990
angles: 99.63 99.63 119.74
Fractional coordinates of all 11 atoms:
Tb 0.165 0.835 0.000
Tb 0.835 0.165 0.000
Tm 0.000 0.000 0.500
Tm 0.334 0.666 0.500
Tm 0.666 0.334 0.500
Se 0.088 0.416 0.747
Se 0.258 0.258 0.250
Se 0.416 0.088 0.747
Se 0.584 0.912 0.253
Se 0.742 0.742 0.750
Se 0.912 0.584 0.253

Main lines, low angle first (2θ = 5–70°):
2θ/deg  d/Å  intensity
13.44  6.590  6
15.30  5.790  5
26.99  3.304  5
27.10  3.290  10
31.37  2.852  100
44.93  2.018  62
45.10  2.010  12
55.75  1.649  13
55.94  1.644  13
65.52  1.425  8

***

Record 6
Calculated PXRD pattern of Na2Tl3Bi for Cu Kα (λ = 1.5418 Å), from a DFT-relaxed cell (GGA-PBE, Alexandria).
Intensities are scaled so that the largest is 100.

abc: 7.342 4.795 10.754
angles: 90.00 109.55 90.00
Fractional coordinates of all 12 atoms:
Na 0.084 0.250 0.414
Na 0.415 0.250 0.086
Na 0.585 0.750 0.914
Na 0.916 0.750 0.586
Tl 0.084 0.750 0.910
Tl 0.249 0.750 0.250
Tl 0.417 0.750 0.590
Tl 0.583 0.250 0.410
Tl 0.751 0.250 0.750
Tl 0.916 0.250 0.090
Bi 0.251 0.250 0.750
Bi 0.749 0.750 0.250

Main lines, low angle first (2θ = 5–70°):
2θ/deg  d/Å  intensity
17.78  4.989  32
25.86  3.445  29
30.67  2.915  100
32.42  2.761  86
36.00  2.495  33
36.27  2.477  32
37.52  2.397  29
52.97  1.729  23
63.49  1.465  26
63.86  1.458  25